(1)
Starting from a structure optimized by DFT (GGA-PBE), the powder diffractogram of UBi was computed for Cu Kα X-rays.
Neutral-atom scattering factors, no anomalous dispersion.

```
data_UBi
_cell_length_a 4.4938
_cell_length_b 4.4938
_cell_length_c 4.4938
_cell_angle_alpha 60.00
_cell_angle_beta 60.00
_cell_angle_gamma 60.00
_symmetry_space_group_name_H-M 'P 1'
_symmetry_Int_Tables_number 1
loop_
_symmetry_equiv_pos_as_xyz
'x,y,z'
loop_
_atom_site_label
_atom_site_fract_x
_atom_site_fract_y
_atom_site_fract_z
U1 0.0000 0.0000 0.0000
Bi1 0.5000 0.5000 0.5000
```

Top 6 peaks for 10 to 80 degrees two-theta, in order of falling intensity:
| Position (°2θ) | Rel. int. |
| --- | --- |
| 28.08 | 1000 |
| 40.13 | 791 |
| 65.71 | 387 |
| 72.92 | 291 |
| 49.70 | 289 |
| 58.05 | 138 |

---

(2)
Starting from a structure optimized by DFT (GGA-PBE), the powder diffractogram of AlMo4Rh was computed for Cu Kα X-rays.
Neutral-atom scattering factors, no anomalous dispersion.

```
data_AlMo4Rh
_cell_length_a 5.1803
_cell_length_b 5.1803
_cell_length_c 5.1803
_cell_angle_alpha 60.00
_cell_angle_beta 60.00
_cell_angle_gamma 60.00
_symmetry_space_group_name_H-M 'P 1'
_symmetry_Int_Tables_number 1
loop_
_symmetry_equiv_pos_as_xyz
'x,y,z'
loop_
_atom_site_label
_atom_site_fract_x
_atom_site_fract_y
_atom_site_fract_z
Al1 0.0000 0.0000 0.0000
Mo1 0.1219 0.6260 0.6260
Mo2 0.6260 0.1219 0.6260
Mo3 0.6260 0.6260 0.1219
Mo4 0.6260 0.6260 0.6260
Rh1 0.2500 0.2500 0.2500
```

Top 10 peaks for 10 to 80 degrees two-theta, in order of falling intensity:
| Position (°2θ) | Rel. int. |
| --- | --- |
| 40.85 | 1000 |
| 42.76 | 535 |
| 66.29 | 309 |
| 21.00 | 288 |
| 73.06 | 274 |
| 34.63 | 162 |
| 49.79 | 105 |
| 24.30 | 81 |
| 54.61 | 67 |
| 62.06 | 58 |

---

(3)
Starting from a structure optimized by DFT (GGA-PBE), the powder diffractogram of PrCu2S3 was computed for Cu Kα X-rays.
Neutral-atom scattering factors, no anomalous dispersion.

```
data_PrCu2S3
_cell_length_a 7.1880
_cell_length_b 7.1880
_cell_length_c 4.8599
_cell_angle_alpha 90.00
_cell_angle_beta 90.00
_cell_angle_gamma 109.76
_symmetry_space_group_name_H-M 'P 1'
_symmetry_Int_Tables_number 1
loop_
_symmetry_equiv_pos_as_xyz
'x,y,z'
loop_
_atom_site_label
_atom_site_fract_x
_atom_site_fract_y
_atom_site_fract_z
Pr1 0.2316 0.7684 0.7500
Pr2 0.7684 0.2316 0.2500
Cu1 0.3114 0.3114 0.0000
Cu2 0.3114 0.3114 0.5000
Cu3 0.6886 0.6886 0.0000
Cu4 0.6886 0.6886 0.5000
S1 0.0518 0.3401 0.7500
S2 0.3401 0.0518 0.2500
S3 0.3874 0.6126 0.2500
S4 0.6126 0.3874 0.7500
S5 0.6599 0.9482 0.7500
S6 0.9482 0.6599 0.2500
```

Top 10 peaks for 10 to 80 degrees two-theta, in order of falling intensity:
| Position (°2θ) | Rel. int. |
| --- | --- |
| 26.35 | 1000 |
| 31.25 | 782 |
| 22.53 | 600 |
| 40.15 | 554 |
| 38.31 | 410 |
| 32.25 | 332 |
| 53.73 | 323 |
| 43.18 | 272 |
| 13.09 | 254 |
| 25.14 | 251 |

---

(4)
Starting from a structure optimized by DFT (GGA-PBE), the powder diffractogram of V2RhSe4 was computed for Cu Kα X-rays.
Neutral-atom scattering factors, no anomalous dispersion.

```
data_V2RhSe4
_cell_length_a 5.9235
_cell_length_b 5.9235
_cell_length_c 5.9235
_cell_angle_alpha 107.47
_cell_angle_beta 107.47
_cell_angle_gamma 113.56
_symmetry_space_group_name_H-M 'P 1'
_symmetry_Int_Tables_number 1
loop_
_symmetry_equiv_pos_as_xyz
'x,y,z'
loop_
_atom_site_label
_atom_site_fract_x
_atom_site_fract_y
_atom_site_fract_z
V1 0.2500 0.7500 0.5000
V2 0.7500 0.2500 0.5000
Rh1 0.0000 0.0000 0.0000
Se1 0.1731 0.3080 0.4811
Se2 0.3080 0.8269 0.1350
Se3 0.6920 0.1731 0.8650
Se4 0.8269 0.6920 0.5189
```

Top 10 peaks for 10 to 80 degrees two-theta, in order of falling intensity:
| Position (°2θ) | Rel. int. |
| --- | --- |
| 31.70 | 1000 |
| 49.83 | 551 |
| 18.63 | 536 |
| 36.26 | 375 |
| 27.48 | 353 |
| 55.92 | 345 |
| 51.31 | 251 |
| 37.78 | 237 |
| 32.99 | 198 |
| 70.45 | 172 |

---

(5)
Starting from a structure optimized by DFT (GGA-PBE), the powder diffractogram of Ta6TcW3 was computed for Cu Kα X-rays.
Neutral-atom scattering factors, no anomalous dispersion.

```
data_Ta6TcW3
_cell_length_a 7.9493
_cell_length_b 4.5870
_cell_length_c 9.7279
_cell_angle_alpha 90.00
_cell_angle_beta 105.68
_cell_angle_gamma 90.00
_symmetry_space_group_name_H-M 'P 1'
_symmetry_Int_Tables_number 1
loop_
_symmetry_equiv_pos_as_xyz
'x,y,z'
loop_
_atom_site_label
_atom_site_fract_x
_atom_site_fract_y
_atom_site_fract_z
Ta1 0.0457 0.2500 0.3995
Ta2 0.1471 0.7500 0.1963
Ta3 0.2537 0.2500 0.9979
Ta4 0.3492 0.2500 0.3011
Ta5 0.3498 0.7500 0.8046
Ta6 0.4471 0.2500 0.6037
Ta7 0.5529 0.7500 0.3963
Ta8 0.6502 0.2500 0.1954
Ta9 0.6508 0.7500 0.6989
Ta10 0.7463 0.7500 0.0021
Ta11 0.8529 0.2500 0.8037
Ta12 0.9543 0.7500 0.6005
Tc1 0.4495 0.7500 0.0993
Tc2 0.5505 0.2500 0.9007
W1 0.0479 0.7500 0.8992
W2 0.1497 0.2500 0.7004
W3 0.2529 0.7500 0.5004
W4 0.7471 0.2500 0.4996
W5 0.8503 0.7500 0.2996
W6 0.9521 0.2500 0.1008
```

Top 6 peaks for 10 to 80 degrees two-theta, in order of falling intensity:
| Position (°2θ) | Rel. int. |
| --- | --- |
| 39.27 | 1000 |
| 71.17 | 235 |
| 71.23 | 116 |
| 56.79 | 115 |
| 56.67 | 58 |
| 11.56 | 6 |

---

(6)
Starting from a structure optimized by DFT (GGA-PBE), the powder diffractogram of SrScUO6 was computed for Cu Kα X-rays.
Neutral-atom scattering factors, no anomalous dispersion.

```
data_SrScUO6
_cell_length_a 5.1812
_cell_length_b 5.1812
_cell_length_c 10.2874
_cell_angle_alpha 90.00
_cell_angle_beta 90.00
_cell_angle_gamma 90.00
_symmetry_space_group_name_H-M 'P 1'
_symmetry_Int_Tables_number 1
loop_
_symmetry_equiv_pos_as_xyz
'x,y,z'
loop_
_atom_site_label
_atom_site_fract_x
_atom_site_fract_y
_atom_site_fract_z
Sr1 0.0000 0.0000 0.0000
Sr2 0.5000 0.5000 0.5000
Sc1 0.0000 0.0000 0.3322
Sc2 0.5000 0.5000 0.8322
U1 0.0000 0.0000 0.6613
U2 0.5000 0.5000 0.1613
O1 0.1702 0.1702 0.5010
O2 0.2083 0.2083 0.7991
O3 0.2122 0.2122 0.1887
O4 0.2878 0.7122 0.6887
O5 0.2917 0.7083 0.2991
O6 0.3298 0.6702 0.0010
O7 0.6702 0.3298 0.0010
O8 0.7083 0.2917 0.2991
O9 0.7122 0.2878 0.6887
O10 0.7878 0.7878 0.1887
O11 0.7917 0.7917 0.7991
O12 0.8298 0.8298 0.5010
```

Top 10 peaks for 10 to 80 degrees two-theta, in order of falling intensity:
| Position (°2θ) | Rel. int. |
| --- | --- |
| 24.29 | 1000 |
| 31.28 | 822 |
| 47.35 | 691 |
| 19.18 | 670 |
| 17.24 | 241 |
| 29.94 | 236 |
| 34.62 | 233 |
| 39.88 | 209 |
| 59.97 | 208 |
| 49.78 | 178 |